Record 1
Theoretical PXRD pattern of MgFe4Cu2O8 for Cu Ka, from a PBE+U-relaxed structure.

Atomic structure:
```
MgFe4Cu2O8
1.0
-2.886 2.918 5.444
2.886 -2.918 5.444
2.886 2.918 -5.444
Mg Fe Cu O
1 4 2 8
direct
0.000 0.000 0.000 Mg
0.106 0.833 0.273 Fe
0.511 0.511 0.000 Fe
0.561 0.833 0.727 Fe
0.756 0.256 0.500 Fe
0.167 0.428 0.262 Cu
0.167 0.905 0.738 Cu
0.371 0.632 0.739 O
0.375 0.153 0.222 O
0.404 0.141 0.737 O
0.404 0.666 0.263 O
0.860 0.093 0.233 O
0.860 0.627 0.767 O
0.893 0.632 0.261 O
0.931 0.153 0.778 O
```

The 6 most intense peaks (10 to 80 degrees two-theta), by angle:
16.28 deg, intensity 38; 27.21 deg, intensity 83; 29.01 deg, intensity 100; 35.44 deg, intensity 46; 35.67 deg, intensity 55; 56.13 deg, intensity 56

Record 2
Theoretical PXRD pattern of Li3Fe2Si2O8 for Cu Ka, from a PBE+U-relaxed structure.

Atomic structure:
```
Li3Fe2Si2O8
1.0
5.174 0.000 0.000
0.000 11.316 0.000
-0.125 0.000 6.104
Li Fe Si O
6 4 4 16
direct
0.038 0.000 0.241 Li
0.052 0.998 0.757 Li
0.448 0.662 0.758 Li
0.552 0.162 0.242 Li
0.948 0.498 0.243 Li
0.962 0.500 0.759 Li
0.068 0.752 0.026 Fe
0.439 0.901 0.500 Fe
0.561 0.401 0.500 Fe
0.932 0.252 0.974 Fe
0.063 0.237 0.492 Si
0.435 0.413 0.005 Si
0.565 0.913 0.995 Si
0.937 0.737 0.508 Si
0.007 0.162 0.710 O
0.048 0.666 0.725 O
0.070 0.873 0.491 O
0.117 0.417 0.004 O
0.377 0.262 0.466 O
0.451 0.982 0.772 O
0.454 0.779 0.996 O
0.464 0.985 0.222 O
0.536 0.485 0.778 O
0.546 0.279 0.004 O
0.549 0.482 0.228 O
0.623 0.762 0.534 O
0.883 0.917 0.996 O
0.930 0.373 0.509 O
0.952 0.166 0.275 O
0.993 0.662 0.290 O
```

The 6 most intense peaks (10 to 80 degrees two-theta), by angle:
15.66 deg, intensity 71; 23.30 deg, intensity 100; 29.26 deg, intensity 33; 33.36 deg, intensity 55; 34.68 deg, intensity 39; 57.44 deg, intensity 23

Record 3
Theoretical PXRD pattern of Li9Mn2Co5O16 for Cu Ka, from a PBE+U-relaxed structure.

Atomic structure:
```
Li9Mn2Co5O16
1.0
5.184 0.000 0.000
-1.882 5.595 0.000
-0.913 -3.047 9.855
Li Mn Co O
9 2 5 16
direct
0.000 0.000 0.000 Li
0.000 0.246 0.498 Li
0.001 0.757 0.497 Li
0.002 0.628 0.755 Li
0.002 0.875 0.239 Li
0.007 0.511 0.002 Li
0.499 0.943 0.119 Li
0.991 0.366 0.241 Li
0.996 0.134 0.754 Li
0.503 0.315 0.372 Mn
0.506 0.688 0.625 Mn
0.491 0.570 0.876 Co
0.493 0.810 0.360 Co
0.498 0.061 0.875 Co
0.503 0.185 0.624 Co
0.509 0.439 0.116 Co
0.260 0.303 0.934 O
0.261 0.665 0.197 O
0.268 0.805 0.931 O
0.272 0.428 0.691 O
0.273 0.187 0.199 O
0.281 0.053 0.444 O
0.284 0.530 0.445 O
0.291 0.900 0.682 O
0.713 0.316 0.800 O
0.718 0.469 0.562 O
0.725 0.222 0.048 O
0.728 0.703 0.053 O
0.729 0.119 0.323 O
0.732 0.818 0.802 O
0.732 0.946 0.559 O
0.734 0.586 0.314 O
```

The 6 most intense peaks (10 to 80 degrees two-theta), by angle:
18.37 deg, intensity 100; 35.12 deg, intensity 16; 36.51 deg, intensity 24; 42.32 deg, intensity 30; 44.22 deg, intensity 26; 44.37 deg, intensity 26